Entry 1:
For UAl7Fe3Cu2, a crystal structure in Alexandria, relaxed with PBE gives the computed XRD peak list in this record (CuKα).

Structure:
a = 6.5861 Å, b = 6.5861 Å, c = 8.6723 Å
α = 130.05°, β = 130.05°, γ = 44.55°
Positions (direct):
U (0.0000, 0.0000, 0.0000)
Al (0.0075, 0.0075, 0.6697)
Al (0.2918, 0.2918, 0.7977)
Al (0.3479, 0.3479, 0.3615)
Al (0.4970, 0.4970, 0.2289)
Al (0.6521, 0.6521, 0.6773)
Al (0.7087, 0.7087, 0.2101)
Al (0.9911, 0.9911, 0.3441)
Fe (0.0037, 0.4983, 0.0105)
Fe (0.4983, 0.0037, 0.0105)
Fe (0.5054, 0.5054, 0.7940)
Cu (0.4986, 0.9964, 0.5066)
Cu (0.9964, 0.4986, 0.5066)

Principal peaks in the range 10 to 80 degrees two-theta, in order of falling intensity:
| 2θ (°) | Rel. int. |
| --- | --- |
| 41.65 | 100 |
| 41.77 | 78 |
| 20.51 | 66 |
| 41.22 | 65 |
| 29.30 | 58 |
| 14.53 | 55 |



Entry 2:
For Al2GaCu7, a crystal structure in Alexandria, relaxed with PBE gives the computed XRD peak list in this record (CuKα).

Structure:
a = 4.0781 Å, b = 4.0781 Å, c = 9.7332 Å
α = 90.00°, β = 90.00°, γ = 120.00°
Positions (direct):
Al (0.0000, 0.0000, 0.0000)
Al (0.3333, 0.6667, 0.6441)
Ga (0.6667, 0.3333, 0.3645)
Cu (0.0000, 0.0000, 0.2469)
Cu (0.0000, 0.0000, 0.5023)
Cu (0.0000, 0.0000, 0.7497)
Cu (0.3333, 0.6667, 0.3856)
Cu (0.3333, 0.6667, 0.9092)
Cu (0.6667, 0.3333, 0.1038)
Cu (0.6667, 0.3333, 0.8378)

Principal peaks in the range 10 to 80 degrees two-theta, in order of falling intensity:
| 2θ (°) | Rel. int. |
| --- | --- |
| 44.43 | 100 |
| 45.25 | 91 |
| 65.29 | 28 |
| 18.23 | 26 |
| 31.29 | 20 |
| 37.65 | 19 |



Entry 3:
For Al4GaCu, a crystal structure in Alexandria, relaxed with PBE gives the computed XRD peak list in this record (CuKα).

Structure:
a = 7.2126 Å, b = 7.2126 Å, c = 5.9506 Å
α = 114.22°, β = 114.22°, γ = 108.11°
Positions (direct):
Al (0.0006, 0.4993, 0.2344)
Al (0.2306, 0.2318, 0.2312)
Al (0.2318, 0.2306, 0.7312)
Al (0.4993, 0.0006, 0.7344)
Al (0.5007, 0.9994, 0.2656)
Al (0.7682, 0.7694, 0.2688)
Al (0.7694, 0.7682, 0.7688)
Al (0.9994, 0.5007, 0.7656)
Ga (0.3760, 0.6240, 0.7500)
Ga (0.6240, 0.3760, 0.2500)
Cu (0.1257, 0.8744, 0.2500)
Cu (0.8744, 0.1257, 0.7500)

Principal peaks in the range 10 to 80 degrees two-theta, in order of falling intensity:
| 2θ (°) | Rel. int. |
| --- | --- |
| 25.95 | 100 |
| 43.03 | 38 |
| 43.42 | 37 |
| 42.47 | 20 |
| 42.72 | 19 |
| 51.66 | 14 |



Entry 4:
For AlGaCu14, a crystal structure in Alexandria, relaxed with PBE gives the computed XRD peak list in this record (CuKα).

Structure:
a = 8.3760 Å, b = 5.0906 Å, c = 5.0906 Å
α = 65.10°, β = 90.00°, γ = 90.00°
Positions (direct):
Al (0.0000, 0.0000, 0.0000)
Ga (0.0000, 0.4995, 0.4995)
Cu (0.0000, 0.4994, 0.9973)
Cu (0.0000, 0.9973, 0.4994)
Cu (0.2528, 0.3093, 0.3093)
Cu (0.2532, 0.3094, 0.8112)
Cu (0.2532, 0.8112, 0.3094)
Cu (0.2527, 0.8106, 0.8106)
Cu (0.5000, 0.1260, 0.1260)
Cu (0.5000, 0.1262, 0.6256)
Cu (0.5000, 0.6256, 0.1262)
Cu (0.5000, 0.6261, 0.6261)
Cu (0.7472, 0.3093, 0.3093)
Cu (0.7468, 0.3094, 0.8112)
Cu (0.7468, 0.8112, 0.3094)
Cu (0.7473, 0.8106, 0.8106)

Principal peaks in the range 10 to 80 degrees two-theta, in order of falling intensity:
| 2θ (°) | Rel. int. |
| --- | --- |
| 44.83 | 100 |
| 43.20 | 38 |
| 40.53 | 22 |
| 43.55 | 17 |
| 47.62 | 16 |
| 51.35 | 11 |



Entry 5:
For Al4GaCu15, a crystal structure in Alexandria, relaxed with PBE gives the computed XRD peak list in this record (CuKα).

Structure:
a = 3.6715 Å, b = 3.6715 Å, c = 18.6029 Å
α = 90.00°, β = 90.00°, γ = 90.00°
Positions (direct):
Al (0.0000, 0.0000, 0.1000)
Al (0.0000, 0.0000, 0.2996)
Al (0.0000, 0.0000, 0.7004)
Al (0.0000, 0.0000, 0.9000)
Ga (0.0000, 0.0000, 0.5000)
Cu (0.0000, 0.5000, 0.0000)
Cu (0.0000, 0.5000, 0.1998)
Cu (0.0000, 0.5000, 0.3992)
Cu (0.0000, 0.5000, 0.6008)
Cu (0.0000, 0.5000, 0.8002)
Cu (0.5000, 0.0000, 0.0000)
Cu (0.5000, 0.0000, 0.1998)
Cu (0.5000, 0.0000, 0.3992)
Cu (0.5000, 0.0000, 0.6008)
Cu (0.5000, 0.0000, 0.8002)
Cu (0.5000, 0.5000, 0.1001)
Cu (0.5000, 0.5000, 0.2999)
Cu (0.5000, 0.5000, 0.5000)
Cu (0.5000, 0.5000, 0.7001)
Cu (0.5000, 0.5000, 0.8999)

Principal peaks in the range 10 to 80 degrees two-theta, in order of falling intensity:
| 2θ (°) | Rel. int. |
| --- | --- |
| 42.46 | 100 |
| 49.66 | 31 |
| 72.31 | 18 |
| 48.96 | 16 |
| 72.87 | 9 |
| 24.24 | 4 |



Entry 6:
For AlGaCu6, a crystal structure in Alexandria, relaxed with PBE gives the computed XRD peak list in this record (CuKα).

Structure:
a = 5.2351 Å, b = 5.2351 Å, c = 4.2339 Å
α = 90.00°, β = 90.00°, γ = 120.00°
Positions (direct):
Al (0.0000, 0.0000, 0.0000)
Ga (0.6667, 0.3333, 0.5000)
Cu (0.0036, 0.5018, 0.0000)
Cu (0.1671, 0.3342, 0.5000)
Cu (0.1671, 0.8329, 0.5000)
Cu (0.4982, 0.5018, 0.0000)
Cu (0.4982, 0.9964, 0.0000)
Cu (0.6658, 0.8329, 0.5000)

Principal peaks in the range 10 to 80 degrees two-theta, in order of falling intensity:
| 2θ (°) | Rel. int. |
| --- | --- |
| 45.38 | 100 |
| 42.71 | 27 |
| 39.76 | 25 |
| 72.18 | 15 |
| 59.77 | 14 |
| 19.58 | 4 |



Question: Which formula does entry 3 have?
Answer: Al4GaCu